[1]
This entry pairs a crystal structure of AlV5Si2 with its theoretical X-ray powder pattern. Radiation: Cu Kα (λ = 1.5418 Å). Structure: a DFT-relaxed cell (PBE, Alexandria).
No peak broadening, texture or thermal motion is included.

Peak list (8 most intense, 10° ≤ 2θ ≤ 90°, by intensity)
- 42.4°, I 100
- 40.3°, I 98
- 41.0°, I 53
- 47.9°, I 51
- 14.5°, I 45
- 80.7°, I 43
- 54.8°, I 20
- 49.0°, I 19

abc: 2.8694 7.6035 10.3106
angles: 90.00 90.00 90.00
Space group Immm (No. 71)
Unique sites:
Al (0.0000, 0.0000, 0.0000)
V (0.0000, 0.2165, 0.3755)
V (0.0000, 0.5000, 0.0000)
Si (0.0000, 0.5000, 0.2524)

***

[2]
This entry pairs a crystal structure of Al8SiW2 with its theoretical X-ray powder pattern. Radiation: Cu Kα (λ = 1.5418 Å). Structure: a DFT-relaxed cell (PBE, Alexandria).
No peak broadening, texture or thermal motion is included.

Peak list (8 most intense, 10° ≤ 2θ ≤ 90°, by intensity)
- 15.0°, I 100
- 38.1°, I 89
- 41.5°, I 72
- 25.5°, I 45
- 30.7°, I 44
- 23.3°, I 42
- 31.4°, I 35
- 43.8°, I 31

abc: 15.9652 3.5875 6.2964
angles: 90.00 109.89 90.00
Space group C2/m (No. 12)
Unique sites:
Al (0.0436, 0.0000, 0.2153)
Al (0.1288, 0.0000, 0.6640)
Al (0.1872, 0.5000, 0.3944)
Al (0.2314, 0.0000, 0.1321)
Si (0.0000, 0.5000, 0.5000)
W (0.0975, 0.5000, 0.9424)

***

[3]
This entry pairs a crystal structure of YAl2Si with its theoretical X-ray powder pattern. Radiation: Cu Kα (λ = 1.5418 Å). Structure: a DFT-relaxed cell (PBE, Alexandria).
No peak broadening, texture or thermal motion is included.

Peak list (8 most intense, 10° ≤ 2θ ≤ 90°, by intensity)
- 38.1°, I 100
- 36.6°, I 64
- 29.2°, I 52
- 66.9°, I 37
- 13.7°, I 24
- 52.7°, I 22
- 25.7°, I 21
- 57.0°, I 14

abc: 3.4709 3.4709 6.4461
angles: 90.00 90.00 90.00
Space group P4mm (No. 99)
Unique sites:
Y (0.0000, 0.0000, 0.0000)
Al (0.0000, 0.0000, 0.5193)
Al (0.5000, 0.5000, 0.3070)
Si (0.5000, 0.5000, 0.7076)

***

[4]
This entry pairs a crystal structure of Y2AlSi with its theoretical X-ray powder pattern. Radiation: Cu Kα (λ = 1.5418 Å). Structure: a DFT-relaxed cell (PBE, Alexandria).
No peak broadening, texture or thermal motion is included.

Peak list (8 most intense, 10° ≤ 2θ ≤ 90°, by intensity)
- 31.5°, I 100
- 32.2°, I 50
- 27.8°, I 45
- 39.5°, I 38
- 33.1°, I 27
- 41.4°, I 23
- 56.9°, I 19
- 22.0°, I 19

abc: 5.8401 3.9814 8.4835
angles: 90.00 107.62 90.00
Space group P2_1/m (No. 11)
Unique sites:
Y (0.2023, 0.2500, 0.4241)
Y (0.2814, 0.7500, 0.0663)
Al (0.3623, 0.7500, 0.7134)
Si (0.1419, 0.2500, 0.7899)

***

[5]
This entry pairs a crystal structure of Y12Al7Si with its theoretical X-ray powder pattern. Radiation: Cu Kα (λ = 1.5418 Å). Structure: a DFT-relaxed cell (PBE, Alexandria).
No peak broadening, texture or thermal motion is included.

Peak list (8 most intense, 10° ≤ 2θ ≤ 90°, by intensity)
- 33.8°, I 100
- 32.1°, I 90
- 32.7°, I 46
- 32.4°, I 37
- 36.2°, I 29
- 23.4°, I 28
- 53.0°, I 26
- 31.9°, I 25

abc: 11.7095 11.7095 15.2312
angles: 90.00 90.00 90.00
Space group I4/mcm (No. 140)
Unique sites:
Y (0.0000, 0.5000, 0.1469)
Y (0.0641, 0.2004, 0.1371)
Y (0.1715, 0.3285, 0.5000)
Al (0.0000, 0.0000, 0.0000)
Al (0.1191, 0.3809, 0.0000)
Al (0.1785, 0.3215, 0.2969)
Si (0.0000, 0.0000, 0.2500)

***

[6]
This entry pairs a crystal structure of AlZn2Si with its theoretical X-ray powder pattern. Radiation: Cu Kα (λ = 1.5418 Å). Structure: a DFT-relaxed cell (PBE, Alexandria).
No peak broadening, texture or thermal motion is included.

Peak list (8 most intense, 10° ≤ 2θ ≤ 90°, by intensity)
- 39.0°, I 100
- 46.3°, I 60
- 40.2°, I 54
- 39.3°, I 49
- 44.7°, I 33
- 25.1°, I 31
- 25.4°, I 28
- 65.7°, I 20

abc: 5.4675 5.6236 4.8403
angles: 90.00 123.04 90.00
Space group C2 (No. 5)
Unique sites:
Al (0.0000, 0.0000, 0.0000)
Zn (0.0000, 0.5019, 0.0000)
Zn (0.0000, 0.7502, 0.5000)
Si (0.0000, 0.2512, 0.5000)

***

[7]
This entry pairs a crystal structure of Zr3Al2Si3 with its theoretical X-ray powder pattern. Radiation: Cu Kα (λ = 1.5418 Å). Structure: a DFT-relaxed cell (PBE, Alexandria).
No peak broadening, texture or thermal motion is included.

Peak list (8 most intense, 10° ≤ 2θ ≤ 90°, by intensity)
- 26.6°, I 100
- 38.7°, I 78
- 35.0°, I 70
- 36.6°, I 61
- 39.0°, I 59
- 40.8°, I 59
- 41.8°, I 48
- 40.4°, I 47

abc: 5.2935 7.2130 9.2232
angles: 101.94 105.09 108.50
Space group P-1 (No. 2)
Unique sites:
Zr (0.0683, 0.2903, 0.3912)
Zr (0.2192, 0.4004, 0.0768)
Zr (0.3668, 0.9814, 0.2208)
Al (0.0577, 0.3503, 0.7329)
Al (0.3326, 0.7264, 0.9206)
Si (0.1497, 0.0067, 0.9022)
Si (0.2448, 0.9924, 0.4937)
Si (0.4092, 0.6078, 0.6544)

***

[8]
This entry pairs a crystal structure of ZrAlSi5 with its theoretical X-ray powder pattern. Radiation: Cu Kα (λ = 1.5418 Å). Structure: a DFT-relaxed cell (PBE, Alexandria).
No peak broadening, texture or thermal motion is included.

Peak list (8 most intense, 10° ≤ 2θ ≤ 90°, by intensity)
- 40.3°, I 100
- 10.5°, I 63
- 32.0°, I 37
- 48.7°, I 28
- 23.8°, I 25
- 35.6°, I 25
- 85.3°, I 22
- 67.1°, I 19

abc: 3.7376 3.7376 8.3965
angles: 90.00 90.00 90.00
Space group P4/mmm (No. 123)
Unique sites:
Zr (0.0000, 0.0000, 0.0000)
Al (0.0000, 0.0000, 0.5000)
Si (0.0000, 0.5000, 0.2699)
Si (0.5000, 0.5000, 0.0000)

***

[9]
This entry pairs a crystal structure of Zr6AlSi with its theoretical X-ray powder pattern. Radiation: Cu Kα (λ = 1.5418 Å). Structure: a DFT-relaxed cell (PBE, Alexandria).
No peak broadening, texture or thermal motion is included.

Peak list (8 most intense, 10° ≤ 2θ ≤ 90°, by intensity)
- 39.8°, I 100
- 31.2°, I 90
- 42.9°, I 64
- 34.6°, I 39
- 22.7°, I 37
- 76.5°, I 28
- 25.5°, I 24
- 40.5°, I 23

abc: 4.2124 4.2124 10.4896
angles: 90.00 90.00 90.00
Space group P4/mmm (No. 123)
Unique sites:
Zr (0.0000, 0.0000, 0.1173)
Zr (0.0000, 0.5000, 0.3363)
Al (0.5000, 0.5000, 0.0000)
Si (0.5000, 0.5000, 0.5000)

***

[10]
This entry pairs a crystal structure of Zr4Al11Si with its theoretical X-ray powder pattern. Radiation: Cu Kα (λ = 1.5418 Å). Structure: a DFT-relaxed cell (PBE, Alexandria).
No peak broadening, texture or thermal motion is included.

Peak list (8 most intense, 10° ≤ 2θ ≤ 90°, by intensity)
- 38.0°, I 100
- 41.9°, I 18
- 22.7°, I 17
- 20.6°, I 17
- 22.9°, I 16
- 45.1°, I 16
- 45.6°, I 15
- 31.6°, I 12

abc: 3.9828 4.0215 17.2411
angles: 90.00 90.00 90.00
Space group Pmmm (No. 47)
Unique sites:
Zr (0.0000, 0.0000, 0.1143)
Zr (0.5000, 0.5000, 0.3796)
Al (0.0000, 0.0000, 0.3754)
Al (0.0000, 0.5000, 0.0000)
Al (0.0000, 0.5000, 0.2491)
Al (0.0000, 0.5000, 0.5000)
Al (0.5000, 0.0000, 0.2496)
Al (0.5000, 0.0000, 0.5000)
Al (0.5000, 0.5000, 0.1281)
Si (0.5000, 0.0000, 0.0000)

***

[11]
This entry pairs a crystal structure of ZrAl2Si4 with its theoretical X-ray powder pattern. Radiation: Cu Kα (λ = 1.5418 Å). Structure: a DFT-relaxed cell (PBE, Alexandria).
No peak broadening, texture or thermal motion is included.

Peak list (8 most intense, 10° ≤ 2θ ≤ 90°, by intensity)
- 43.3°, I 100
- 36.5°, I 85
- 27.2°, I 70
- 30.8°, I 46
- 42.0°, I 46
- 77.6°, I 26
- 51.8°, I 26
- 25.4°, I 25

abc: 4.3047 5.8046 21.0024
angles: 90.00 90.00 90.00
Space group Cmc2_1 (No. 36)
Unique sites:
Zr (0.0000, 0.0050, 0.0000)
Al (0.0000, 0.4118, 0.1960)
Al (0.0000, 0.4151, 0.9173)
Si (0.0000, 0.0159, 0.1328)
Si (0.0000, 0.0242, 0.8554)
Si (0.0000, 0.3471, 0.3111)
Si (0.0000, 0.3897, 0.0759)

***

[12]
This entry pairs a crystal structure of SmAl2 with its theoretical X-ray powder pattern. Radiation: Cu Kα (λ = 1.5418 Å). Structure: a DFT-relaxed cell (PBE, Alexandria).
No peak broadening, texture or thermal motion is included.

Peak list (8 most intense, 10° ≤ 2θ ≤ 90°, by intensity)
- 35.4°, I 100
- 27.4°, I 83
- 15.5°, I 55
- 37.4°, I 45
- 66.2°, I 32
- 49.5°, I 23
- 40.7°, I 21
- 31.3°, I 20

abc: 3.3989 3.3989 11.4379
angles: 90.00 90.00 90.00
Space group I4/mmm (No. 139)
Unique sites:
Sm (0.0000, 0.0000, 0.0000)
Al (0.0000, 0.0000, 0.3103)